Computed powder X-ray diffraction pattern
Compound: V4O3F9
Radiation: Cu Kα (λ = 1.5418 Å)
Structure: a crystal structure in Alexandria, relaxed with PBE+U
Kinematic intensities with the Lorentz-polarization factor, no thermal factor.

Structural model:
abc: 5.2766 5.4235 7.6246
angles: 91.30 90.32 90.89
Space group P1 (No. 1)
Symmetry-distinct sites (fractional):
1 V 0.0000 0.0000 0.0000 (multiplicity 1)
2 V 0.0037 0.0147 0.5056 (multiplicity 1)
3 V 0.4762 0.4822 0.0019 (multiplicity 1)
4 V 0.5077 0.5128 0.4989 (multiplicity 1)
5 O 0.2127 0.2478 0.5279 (multiplicity 1)
6 O 0.2487 0.1945 0.9757 (multiplicity 1)
7 O 0.7394 0.7223 0.4760 (multiplicity 1)
8 F 0.0581 0.9487 0.2528 (multiplicity 1)
9 F 0.1846 0.6944 0.9494 (multiplicity 1)
10 F 0.2388 0.7474 0.5601 (multiplicity 1)
11 F 0.3908 0.5033 0.2535 (multiplicity 1)
12 F 0.5639 0.4651 0.7513 (multiplicity 1)
13 F 0.6964 0.7815 0.0304 (multiplicity 1)
14 F 0.7078 0.2160 0.4470 (multiplicity 1)
15 F 0.7631 0.2700 0.0577 (multiplicity 1)
16 F 0.8886 0.0077 0.7521 (multiplicity 1)

Largest 10 diffraction maxima, in order of falling intensity, 10 to 80 degrees two-theta:
(0 0 2), 2θ 23.3, rel. 100.0; (1 1 0), 2θ 23.7, rel. 57.4; (2 -2 0), 2θ 47.7, rel. 23.5; (1 -1 4), 2θ 53.5, rel. 18.0; (-2 2 2), 2θ 54.1, rel. 15.0; (1 -1 2), 2θ 33.0, rel. 12.6; (2 2 0), 2θ 48.5, rel. 12.0; (1 0 3), 2θ 39.5, rel. 7.0; (1 -3 0), 2θ 53.3, rel. 6.0; (0 2 4), 2θ 60.0, rel. 5.7